Record 1
This entry pairs a crystal structure of CuTeSBr with its calculated X-ray diffraction stick pattern. Radiation: Cu Kα. Structure: a cell relaxed with PBE.
Peak positions follow from Bragg's law for the DFT cell and can differ from measured ones.

Principal peaks in the range 15° ≤ 2θ ≤ 90°, by intensity:
- 2θ 28.2, I 100
- 2θ 15.9, I 80
- 2θ 25.1, I 62
- 2θ 31.7, I 57
- 2θ 28.9, I 47
- 2θ 51.2, I 42
- 2θ 30.3, I 37
- 2θ 30.8, I 36
- 2θ 15.2, I 34
- 2θ 35.1, I 32

Cell and atoms:
Unit cell a=8.0107 b=4.9130 c=12.4285 alpha=90.00 beta=116.03 gamma=90.00
Fractional positions:
Cu 0.1938 0.1291 0.2517
Cu 0.1938 0.3709 0.7517
Cu 0.8062 0.6291 0.2483
Cu 0.8062 0.8709 0.7483
Te 0.2910 0.0041 0.6465
Te 0.2910 0.4959 0.1465
Te 0.7090 0.5041 0.8535
Te 0.7090 0.9959 0.3535
S 0.4167 0.6902 0.8296
S 0.4167 0.8098 0.3296
S 0.5833 0.1902 0.6704
S 0.5833 0.3098 0.1704
Br 0.0857 0.1481 0.8867
Br 0.0857 0.3519 0.3867
Br 0.9143 0.6481 0.6133
Br 0.9143 0.8519 0.1133

Record 2
This entry pairs a crystal structure of CuSe3Br with its calculated X-ray diffraction stick pattern. Radiation: Cu Kα. Structure: a cell relaxed with PBE.
Peak positions follow from Bragg's law for the DFT cell and can differ from measured ones.

Principal peaks in the range 15° ≤ 2θ ≤ 90°, by intensity:
- 2θ 32.8, I 100
- 2θ 28.3, I 68
- 2θ 29.6, I 57
- 2θ 22.2, I 47
- 2θ 45.8, I 39
- 2θ 17.8, I 36
- 2θ 40.3, I 31
- 2θ 33.1, I 27
- 2θ 21.3, I 25
- 2θ 23.5, I 23

Cell and atoms:
Unit cell a=14.4783 b=4.9880 c=7.5866 alpha=90.00 beta=90.00 gamma=90.00
Fractional positions:
Cu 0.2500 0.2083 0.2500
Cu 0.2500 0.7917 0.7500
Cu 0.7500 0.2083 0.2500
Cu 0.7500 0.7917 0.7500
Se 0.0000 0.1827 0.2346
Se 0.0000 0.8173 0.7654
Se 0.1264 0.0737 0.6550
Se 0.1264 0.9263 0.3450
Se 0.3736 0.0737 0.8450
Se 0.3736 0.9263 0.1550
Se 0.5000 0.1827 0.2654
Se 0.5000 0.8173 0.7346
Se 0.6264 0.0737 0.8450
Se 0.6264 0.9263 0.1550
Se 0.8736 0.0737 0.6550
Se 0.8736 0.9263 0.3450
Br 0.1915 0.5000 0.0000
Br 0.3085 0.5000 0.5000
Br 0.6915 0.5000 0.5000
Br 0.8085 0.5000 0.0000

Record 3
This entry pairs a crystal structure of CuTeSeBr with its calculated X-ray diffraction stick pattern. Radiation: Cu Kα. Structure: a cell relaxed with PBE.
Peak positions follow from Bragg's law for the DFT cell and can differ from measured ones.

Principal peaks in the range 15° ≤ 2θ ≤ 90°, by intensity:
- 2θ 28.0, I 100
- 2θ 15.8, I 90
- 2θ 29.9, I 85
- 2θ 24.7, I 60
- 2θ 30.2, I 60
- 2θ 31.2, I 57
- 2θ 43.6, I 50
- 2θ 32.8, I 42
- 2θ 23.4, I 37
- 2θ 50.1, I 35

Cell and atoms:
Unit cell a=8.1879 b=4.9963 c=12.4852 alpha=90.00 beta=116.06 gamma=90.00
Fractional positions:
Cu 0.1884 0.1333 0.2500
Cu 0.1884 0.3667 0.7500
Cu 0.8116 0.6333 0.2500
Cu 0.8116 0.8667 0.7500
Te 0.2835 0.0104 0.6442
Te 0.2835 0.4896 0.1442
Te 0.7165 0.5104 0.8558
Te 0.7165 0.9896 0.3558
Se 0.4181 0.7039 0.8410
Se 0.4181 0.7961 0.3410
Se 0.5819 0.2039 0.6590
Se 0.5819 0.2961 0.1590
Br 0.0845 0.1425 0.8848
Br 0.0845 0.3575 0.3848
Br 0.9155 0.6425 0.6152
Br 0.9155 0.8575 0.1152

Record 4
This entry pairs a crystal structure of CuSiBr with its calculated X-ray diffraction stick pattern. Radiation: Cu Kα. Structure: a cell relaxed with PBE.
Peak positions follow from Bragg's law for the DFT cell and can differ from measured ones.

Principal peaks in the range 15° ≤ 2θ ≤ 90°, by intensity:
- 2θ 40.5, I 100
- 2θ 24.4, I 61
- 2θ 73.6, I 32
- 2θ 47.8, I 29
- 2θ 58.5, I 16
- 2θ 64.4, I 11
- 2θ 87.5, I 10
- 2θ 78.9, I 8
- 2θ 28.3, I 7
- 2θ 66.3, I 3

Cell and atoms:
Unit cell a=4.4594 b=4.4594 c=4.4594 alpha=60.00 beta=60.00 gamma=60.00
Fractional positions:
Cu 0.0000 0.0000 0.0000
Si 0.7500 0.7500 0.7500
Br 0.2500 0.2500 0.2500

Record 5
This entry pairs a crystal structure of CuTeBr with its calculated X-ray diffraction stick pattern. Radiation: Cu Kα. Structure: a cell relaxed with PBE.
Peak positions follow from Bragg's law for the DFT cell and can differ from measured ones.

Principal peaks in the range 15° ≤ 2θ ≤ 90°, by intensity:
- 2θ 28.4, I 100
- 2θ 23.8, I 97
- 2θ 15.3, I 90
- 2θ 28.5, I 84
- 2θ 48.1, I 78
- 2θ 44.4, I 77
- 2θ 48.6, I 54
- 2θ 41.4, I 39
- 2θ 42.0, I 32
- 2θ 21.0, I 31

Cell and atoms:
Unit cell a=16.3086 b=11.9011 c=11.7338 alpha=87.26 beta=46.79 gamma=45.94
Fractional positions:
Cu 0.0108 0.7392 0.0108
Cu 0.1250 0.1250 0.1250
Cu 0.2608 0.9892 0.2608
Cu 0.3750 0.3750 0.3750
Cu 0.6250 0.6250 0.6250
Cu 0.7392 0.0108 0.7392
Cu 0.8750 0.8750 0.8750
Cu 0.9892 0.2608 0.9892
Te 0.0218 0.3327 0.6143
Te 0.3327 0.0218 0.5312
Te 0.3857 0.4688 0.9782
Te 0.4688 0.3857 0.6673
Te 0.5312 0.6143 0.3327
Te 0.6143 0.5312 0.0218
Te 0.6673 0.9782 0.4688
Te 0.9782 0.6673 0.3857
Br 0.1229 0.7562 0.4947
Br 0.1262 0.4947 0.7562
Br 0.2438 0.8771 0.8738
Br 0.4947 0.1262 0.1229
Br 0.5053 0.8738 0.8771
Br 0.7562 0.1229 0.1262
Br 0.8738 0.5053 0.2438
Br 0.8771 0.2438 0.5053

Record 6
This entry pairs a crystal structure of CuTe2Br with its calculated X-ray diffraction stick pattern. Radiation: Cu Kα. Structure: a cell relaxed with PBE.
Peak positions follow from Bragg's law for the DFT cell and can differ from measured ones.

Principal peaks in the range 15° ≤ 2θ ≤ 90°, by intensity:
- 2θ 28.7, I 100
- 2θ 15.4, I 95
- 2θ 27.1, I 90
- 2θ 29.1, I 80
- 2θ 30.3, I 64
- 2θ 22.6, I 61
- 2θ 41.7, I 60
- 2θ 23.7, I 58
- 2θ 44.9, I 57
- 2θ 32.0, I 56

Cell and atoms:
Unit cell a=8.3970 b=5.2285 c=12.7759 alpha=90.00 beta=115.37 gamma=90.00
Fractional positions:
Cu 0.1790 0.1302 0.2491
Cu 0.1790 0.3698 0.7491
Cu 0.8210 0.6302 0.2509
Cu 0.8210 0.8698 0.7509
Te 0.2787 0.0304 0.6462
Te 0.2787 0.4696 0.1462
Te 0.4121 0.7118 0.8504
Te 0.4121 0.7882 0.3504
Te 0.5879 0.2118 0.6496
Te 0.5879 0.2882 0.1496
Te 0.7213 0.5304 0.8538
Te 0.7213 0.9696 0.3538
Br 0.0845 0.1236 0.8789
Br 0.0845 0.3764 0.3789
Br 0.9155 0.6236 0.6211
Br 0.9155 0.8764 0.1211

Record 7
This entry pairs a crystal structure of V2CuBr with its calculated X-ray diffraction stick pattern. Radiation: Cu Kα. Structure: a cell relaxed with PBE.
Peak positions follow from Bragg's law for the DFT cell and can differ from measured ones.

Principal peaks in the range 15° ≤ 2θ ≤ 90°, by intensity:
- 2θ 41.8, I 100
- 2θ 76.3, I 30
- 2θ 60.6, I 15
- 2θ 29.2, I 5
- 2θ 68.7, I 2
- 2θ 51.8, I 2
- 2θ 25.2, I 1

Cell and atoms:
Unit cell a=4.3211 b=4.3211 c=4.3211 alpha=60.00 beta=60.00 gamma=60.00
Fractional positions:
V 0.2500 0.2500 0.2500
V 0.7500 0.7500 0.7500
Cu 0.0000 0.0000 0.0000
Br 0.5000 0.5000 0.5000

Record 8
This entry pairs a crystal structure of DyBr3 with its calculated X-ray diffraction stick pattern. Radiation: Cu Kα. Structure: a cell relaxed with PBE.
Peak positions follow from Bragg's law for the DFT cell and can differ from measured ones.

Principal peaks in the range 15° ≤ 2θ ≤ 90°, by intensity:
- 2θ 30.7, I 100
- 2θ 16.6, I 76
- 2θ 19.1, I 73
- 2θ 42.6, I 66
- 2θ 35.1, I 55
- 2θ 37.7, I 38
- 2θ 34.9, I 30
- 2θ 51.2, I 29
- 2θ 60.9, I 28
- 2θ 76.2, I 22

Cell and atoms:
Unit cell a=10.7092 b=10.7092 c=3.7439 alpha=90.00 beta=90.00 gamma=120.00
Fractional positions:
Dy 0.3333 0.6667 0.2500
Dy 0.6667 0.3333 0.7500
Br 0.2191 0.4382 0.7500
Br 0.2191 0.7809 0.7500
Br 0.4382 0.2191 0.2500
Br 0.5618 0.7809 0.7500
Br 0.7809 0.2191 0.2500
Br 0.7809 0.5618 0.2500

Record 9
This entry pairs a crystal structure of KDyBr3 with its calculated X-ray diffraction stick pattern. Radiation: Cu Kα. Structure: a cell relaxed with PBE.
Peak positions follow from Bragg's law for the DFT cell and can differ from measured ones.

Principal peaks in the range 15° ≤ 2θ ≤ 90°, by intensity:
- 2θ 16.0, I 100
- 2θ 32.3, I 41
- 2θ 22.7, I 28
- 2θ 36.2, I 28
- 2θ 40.6, I 28
- 2θ 32.4, I 25
- 2θ 36.3, I 24
- 2θ 35.4, I 20
- 2θ 46.4, I 18
- 2θ 26.9, I 17

Cell and atoms:
Unit cell a=8.0726 b=11.0572 c=7.6437 alpha=90.00 beta=90.00 gamma=90.00
Fractional positions:
K 0.0727 0.2500 0.0288
K 0.4273 0.7500 0.5288
K 0.5727 0.2500 0.4712
K 0.9273 0.7500 0.9712
Dy 0.0000 0.0000 0.5000
Dy 0.0000 0.5000 0.5000
Dy 0.5000 0.0000 0.0000
Dy 0.5000 0.5000 0.0000
Br 0.0258 0.7500 0.3969
Br 0.2039 0.5463 0.8008
Br 0.2039 0.9537 0.8008
Br 0.2961 0.0463 0.3008
Br 0.2961 0.4537 0.3008
Br 0.4742 0.2500 0.8969
Br 0.5258 0.7500 0.1031
Br 0.7039 0.5463 0.6992
Br 0.7039 0.9537 0.6992
Br 0.7961 0.0463 0.1992
Br 0.7961 0.4537 0.1992
Br 0.9742 0.2500 0.6031

Record 10
This entry pairs a crystal structure of LiDy2Br5 with its calculated X-ray diffraction stick pattern. Radiation: Cu Kα. Structure: a cell relaxed with PBE.
Peak positions follow from Bragg's law for the DFT cell and can differ from measured ones.

Principal peaks in the range 15° ≤ 2θ ≤ 90°, by intensity:
- 2θ 32.3, I 100
- 2θ 18.2, I 78
- 2θ 30.9, I 63
- 2θ 30.8, I 63
- 2θ 37.4, I 58
- 2θ 37.6, I 52
- 2θ 32.1, I 52
- 2θ 30.6, I 52
- 2θ 31.4, I 50
- 2θ 30.4, I 46

Cell and atoms:
Unit cell a=8.8471 b=8.8471 c=7.7850 alpha=91.10 beta=91.10 gamma=45.22
Fractional positions:
Li 0.0000 0.5000 0.0000
Li 0.5000 0.0000 0.5000
Dy 0.1187 0.7385 0.4328
Dy 0.2615 0.8813 0.0672
Dy 0.7385 0.1187 0.9328
Dy 0.8813 0.2615 0.5672
Br 0.1227 0.8773 0.7500
Br 0.1429 0.2647 0.3373
Br 0.2647 0.1429 0.8373
Br 0.3136 0.5071 0.1010
Br 0.4929 0.6864 0.3990
Br 0.5071 0.3136 0.6010
Br 0.6864 0.4929 0.8990
Br 0.7353 0.8571 0.1627
Br 0.8571 0.7353 0.6627
Br 0.8773 0.1227 0.2500

Record 11
This entry pairs a crystal structure of Rb2LiDyBr6 with its calculated X-ray diffraction stick pattern. Radiation: Cu Kα. Structure: a cell relaxed with PBE.
Peak positions follow from Bragg's law for the DFT cell and can differ from measured ones.

Principal peaks in the range 15° ≤ 2θ ≤ 90°, by intensity:
- 2θ 32.3, I 100
- 2θ 27.9, I 72
- 2θ 46.3, I 72
- 2θ 77.0, I 32
- 2θ 55.0, I 30
- 2θ 57.6, I 25
- 2θ 85.9, I 25
- 2θ 26.7, I 23
- 2θ 22.7, I 21
- 2θ 16.0, I 20

Cell and atoms:
Unit cell a=7.8364 b=7.8364 c=7.8364 alpha=60.00 beta=60.00 gamma=60.00
Fractional positions:
Rb 0.2500 0.2500 0.2500
Rb 0.7500 0.7500 0.7500
Li 0.0000 0.0000 0.0000
Dy 0.5000 0.5000 0.5000
Br 0.2476 0.2476 0.7524
Br 0.2476 0.7524 0.2476
Br 0.2476 0.7524 0.7524
Br 0.7524 0.2476 0.2476
Br 0.7524 0.2476 0.7524
Br 0.7524 0.7524 0.2476

Record 12
This entry pairs a crystal structure of Na3DyBr6 with its calculated X-ray diffraction stick pattern. Radiation: Cu Kα. Structure: a cell relaxed with PBE.
Peak positions follow from Bragg's law for the DFT cell and can differ from measured ones.

Principal peaks in the range 15° ≤ 2θ ≤ 90°, by intensity:
- 2θ 27.3, I 100
- 2θ 16.6, I 45
- 2θ 41.8, I 44
- 2θ 27.9, I 39
- 2θ 26.7, I 36
- 2θ 33.5, I 29
- 2θ 30.8, I 29
- 2θ 40.5, I 27
- 2θ 36.9, I 26
- 2θ 49.8, I 25

Cell and atoms:
Unit cell a=7.4148 b=7.7368 c=13.1775 alpha=90.00 beta=124.05 gamma=90.00
Fractional positions:
Na 0.0000 0.0000 0.0000
Na 0.0000 0.5000 0.5000
Na 0.2291 0.0596 0.7430
Na 0.2291 0.4404 0.2430
Na 0.7709 0.5596 0.7570
Na 0.7709 0.9404 0.2570
Dy 0.5000 0.0000 0.5000
Dy 0.5000 0.5000 0.0000
Br 0.1258 0.1807 0.4384
Br 0.1258 0.3193 0.9384
Br 0.2507 0.6955 0.4231
Br 0.2507 0.8045 0.9231
Br 0.3913 0.0635 0.2603
Br 0.3913 0.4365 0.7603
Br 0.6087 0.5635 0.2397
Br 0.6087 0.9365 0.7397
Br 0.7493 0.1955 0.0769
Br 0.7493 0.3045 0.5769
Br 0.8742 0.6807 0.0616
Br 0.8742 0.8193 0.5616

Copy entry 5 word for word.
This entry pairs a crystal structure of CuTeBr with its calculated X-ray diffraction stick pattern. Radiation: Cu Kα. Structure: a cell relaxed with PBE.
Peak positions follow from Bragg's law for the DFT cell and can differ from measured ones.

Principal peaks in the range 15° ≤ 2θ ≤ 90°, by intensity:
- 2θ 28.4, I 100
- 2θ 23.8, I 97
- 2θ 15.3, I 90
- 2θ 28.5, I 84
- 2θ 48.1, I 78
- 2θ 44.4, I 77
- 2θ 48.6, I 54
- 2θ 41.4, I 39
- 2θ 42.0, I 32
- 2θ 21.0, I 31

Cell and atoms:
Unit cell a=16.3086 b=11.9011 c=11.7338 alpha=87.26 beta=46.79 gamma=45.94
Fractional positions:
Cu 0.0108 0.7392 0.0108
Cu 0.1250 0.1250 0.1250
Cu 0.2608 0.9892 0.2608
Cu 0.3750 0.3750 0.3750
Cu 0.6250 0.6250 0.6250
Cu 0.7392 0.0108 0.7392
Cu 0.8750 0.8750 0.8750
Cu 0.9892 0.2608 0.9892
Te 0.0218 0.3327 0.6143
Te 0.3327 0.0218 0.5312
Te 0.3857 0.4688 0.9782
Te 0.4688 0.3857 0.6673
Te 0.5312 0.6143 0.3327
Te 0.6143 0.5312 0.0218
Te 0.6673 0.9782 0.4688
Te 0.9782 0.6673 0.3857
Br 0.1229 0.7562 0.4947
Br 0.1262 0.4947 0.7562
Br 0.2438 0.8771 0.8738
Br 0.4947 0.1262 0.1229
Br 0.5053 0.8738 0.8771
Br 0.7562 0.1229 0.1262
Br 0.8738 0.5053 0.2438
Br 0.8771 0.2438 0.5053